Structure and theoretical X-ray powder pattern of Li2CdInHg8 (a DFT-relaxed cell (PBE, Alexandria); Cu Kα (weighted mean of Kα1 and Kα2)).
Lines closer than 0.1° are merged.

Largest 8 diffraction maxima, by intensity, 2θ = 15–90°:
- 2θ 34.4, intensity 100
- 2θ 34.8, intensity 39
- 2θ 34.2, intensity 38
- 2θ 38.6, intensity 29
- 2θ 19.8, intensity 27
- 2θ 58.7, intensity 23
- 2θ 19.0, intensity 19
- 2θ 25.7, intensity 17

Crystal structure
a b c (Å): 6.2957 6.2957 8.9808
angles (deg): 90.00 90.00 120.00
Sites, in units of the cell vectors:
Li (0.3333, 0.6667, 0.4276)
Li (0.6667, 0.3333, 0.5724)
Cd (0.0000, 0.0000, 0.5000)
In (0.0000, 0.0000, 0.0000)
Hg (0.1768, 0.3535, 0.7419)
Hg (0.1768, 0.8232, 0.7419)
Hg (0.3333, 0.6667, 0.0926)
Hg (0.3535, 0.1768, 0.2581)
Hg (0.6465, 0.8232, 0.7419)
Hg (0.6667, 0.3333, 0.9074)
Hg (0.8232, 0.1768, 0.2581)
Hg (0.8232, 0.6465, 0.2581)

Structure and theoretical X-ray powder pattern of Be2P (a DFT-relaxed cell (PBE, Alexandria); Cu Kα (weighted mean of Kα1 and Kα2)).
Lines closer than 0.1° are merged.

Largest 8 diffraction maxima, by intensity, 2θ = 15–90°:
- 2θ 29.4, intensity 100
- 2θ 35.3, intensity 83
- 2θ 30.4, intensity 72
- 2θ 34.6, intensity 64
- 2θ 26.1, intensity 62
- 2θ 50.7, intensity 40
- 2θ 40.5, intensity 39
- 2θ 55.1, intensity 37

Crystal structure
a b c (Å): 3.4607 3.4607 7.0330
angles (deg): 97.27 97.27 116.08
Sites, in units of the cell vectors:
Be (0.0000, 0.0000, 0.0000)
Be (0.1564, 0.0114, 0.6722)
Be (0.7355, 0.2645, 0.5000)
Be (0.9886, 0.8436, 0.3278)
P (0.6048, 0.1517, 0.1991)
P (0.8483, 0.3952, 0.8009)

Structure and theoretical X-ray powder pattern of Hf4Cd2Hg (a DFT-relaxed cell (PBE, Alexandria); Cu Kα (weighted mean of Kα1 and Kα2)).
Lines closer than 0.1° are merged.

Largest 8 diffraction maxima, by intensity, 2θ = 15–90°:
- 2θ 34.9, intensity 100
- 2θ 41.2, intensity 67
- 2θ 36.4, intensity 62
- 2θ 33.2, intensity 41
- 2θ 60.2, intensity 34
- 2θ 39.1, intensity 33
- 2θ 70.7, intensity 26
- 2θ 72.0, intensity 17

Crystal structure
a b c (Å): 16.2059 16.2059 3.1186
angles (deg): 90.00 90.00 169.04
Sites, in units of the cell vectors:
Hf (0.0700, 0.9300, 0.0000)
Hf (0.3640, 0.6360, 0.5000)
Hf (0.6360, 0.3640, 0.5000)
Hf (0.9300, 0.0700, 0.0000)
Cd (0.2100, 0.7900, 0.0000)
Cd (0.7900, 0.2100, 0.0000)
Hg (0.5000, 0.5000, 0.5000)

Structure and theoretical X-ray powder pattern of Cs2ZrF7 (a DFT-relaxed cell (PBE, Alexandria); Cu Kα (weighted mean of Kα1 and Kα2)).
Lines closer than 0.1° are merged.

Largest 8 diffraction maxima, by intensity, 2θ = 15–90°:
- 2θ 26.4, intensity 100
- 2θ 46.5, intensity 38
- 2θ 37.6, intensity 37
- 2θ 54.3, intensity 22
- 2θ 74.2, intensity 22
- 2θ 32.4, intensity 21
- 2θ 61.3, intensity 21
- 2θ 16.1, intensity 20

Crystal structure
a b c (Å): 6.7626 6.7626 6.7626
angles (deg): 60.00 60.00 60.00
Sites, in units of the cell vectors:
Cs (0.2500, 0.2500, 0.2500)
Cs (0.7500, 0.7500, 0.7500)
Zr (0.0000, 0.0000, 0.0000)
F (0.2130, 0.2130, 0.7870)
F (0.2130, 0.7870, 0.2130)
F (0.2130, 0.7870, 0.7870)
F (0.5000, 0.5000, 0.5000)
F (0.7870, 0.2130, 0.2130)
F (0.7870, 0.2130, 0.7870)
F (0.7870, 0.7870, 0.2130)